Theoretical XRD peak list of Y2OsO6 for Cu Kα, 1.54184 Å, from a cell relaxed with PBE.
Lines closer than 0.1° are merged.

Cell and atoms:
Unit cell a=4.9985 b=4.9985 c=10.0081 alpha=90.00 beta=90.00 gamma=90.00
Element x y z (fractional)
Y1 0.0000 0.0000 0.1695
Y2 0.0000 0.0000 0.8305
Y3 0.5000 0.5000 0.3305
Y4 0.5000 0.5000 0.6695
Os1 0.0000 0.0000 0.5000
Os2 0.5000 0.5000 0.0000
O1 0.1860 0.1860 0.3552
O2 0.1860 0.1860 0.6448
O3 0.2272 0.2272 0.0000
O4 0.2728 0.7272 0.5000
O5 0.3140 0.6860 0.1448
O6 0.3140 0.6860 0.8552
O7 0.6860 0.3140 0.1448
O8 0.6860 0.3140 0.8552
O9 0.7272 0.2728 0.5000
O10 0.7728 0.7728 0.0000
O11 0.8140 0.8140 0.3552
O12 0.8140 0.8140 0.6448

Largest 10 diffraction maxima, by angle, 2θ = 5–70°:
2θ = 19.85°, rel. 28, hkl 1 0 1; 2θ = 25.20°, rel. 100, hkl 1 1 0; 2θ = 32.26°, rel. 84, hkl 1 0 3; 2θ = 35.93°, rel. 24, hkl 2 0 0; 2θ = 49.05°, rel. 68, hkl 2 1 3; 2θ = 51.72°, rel. 20, hkl 2 2 0; 2θ = 55.07°, rel. 10, hkl 0 0 6; 2θ = 58.38°, rel. 16, hkl 3 1 0; 2θ = 61.48°, rel. 18, hkl 1 1 6; 2θ = 62.29°, rel. 21, hkl 3 0 3